Diffraction record for Pr2Ga5Pd. The X-ray diffraction stick pattern is computed, not measured: it uses DFT lattice parameters and positions (GGA-PBE) and CuKα.
No peak broadening, texture or thermal motion is included.

Most intense lines, 2θ from 15° to 90°, in order of rising 2θ:
h k l  2theta  I (rel.)
1 1 2  28.2  78
2 1 1  33.6  26
2 0 2  34.9  100
0 0 4  39.7  38
2 2 0  41.0  61
2 1 3  44.2  18
3 1 2  50.5  21
2 2 4  58.3  41

Cell and atoms:
```
data_Pr2Ga5Pd
_chemical_formula_sum 'Pr4 Ga10 Pd2'
_cell_length_a 6.230
_cell_length_b 6.230
_cell_length_c 9.090
_cell_angle_alpha 90.00
_cell_angle_beta 90.00
_cell_angle_gamma 90.00
_symmetry_space_group_name_H-M 'I 4 m m'
_symmetry_Int_Tables_number 107
_symmetry_space_group_name_Hall 'I 4 -2'
loop_
_atom_site_label
_atom_site_fract_x
_atom_site_fract_y
_atom_site_fract_z
Pr1 0.000 0.500 0.000
Ga1 0.000 0.000 0.475
Ga2 0.212 0.212 0.250
Pd1 0.000 0.000 0.751
```